1.
Theoretical powder diffractogram of AlCuPd2 for copper Kα, from the PBE geometry in the Materials Project.
No peak broadening, texture or thermal motion is included.

Top 12 peaks for 10 to 80 degrees two-theta, by angle:
index  2theta  d (Å)  Rel. int.
0 0 1  15.31  5.786  4
1 0 0  28.73  3.108  22
0 0 2  30.91  2.893  9
1 0 1  32.71  2.738  5
1 1 0  41.07  2.197  56
1 0 2  42.70  2.117  100
1 1 2  52.28  1.750  8
2 0 0  59.49  1.554  18
0 0 4  64.41  1.446  7
2 1 0  67.38  1.390  4
2 1 2  75.96  1.253  34
1 1 4  79.29  1.208  15

Crystal structure
Cell lengths 3.108, 3.108, 5.786 Å; angles 90.00, 90.00, 90.00 degrees
Space group P4/mmm (No. 123)
Inequivalent atoms, fractional coordinates:
Al (0.000, 0.000, 0.000)
Cu (0.000, 0.000, 0.500)
Pd (0.500, 0.500, 0.245)



2.
Theoretical powder diffractogram of Li3Zr4F19 for copper Kα, from the PBE geometry in the Materials Project.
No peak broadening, texture or thermal motion is included.

Top 12 peaks for 10 to 80 degrees two-theta, by angle:
index  2theta  d (Å)  Rel. int.
0 1 -2  14.26  6.210  27
1 0 0  16.57  5.349  33
1 -1 0  16.67  5.317  19
0 2 -2  18.74  4.735  19
0 1 -3  20.65  4.301  20
1 1 -2  22.29  3.988  100
0 2 2  26.15  3.408  52
1 -3 1  26.60  3.351  39
1 -1 3  26.83  3.322  38
2 2 -4  45.49  1.994  31
-1 5 1  46.26  1.962  20
1 1 5  46.70  1.945  20

Crystal structure
Cell lengths 5.532, 11.026, 12.964 Å; angles 107.76, 92.36, 103.12 degrees
Space group P-1 (No. 2)
Inequivalent atoms, fractional coordinates:
Li (0.025, 0.336, 0.441)
Li (0.090, 0.990, 0.293)
Li (0.217, 0.240, 0.988)
Zr (0.165, 0.623, 0.131)
Zr (0.363, 0.883, 0.866)
Zr (0.400, 0.552, 0.709)
Zr (0.438, 0.162, 0.553)
F (0.007, 0.776, 0.153)
F (0.085, 0.801, 0.940)
F (0.112, 0.481, 0.797)
F (0.126, 0.430, 0.005)
F (0.138, 0.951, 0.788)
F (0.160, 0.502, 0.574)
F (0.165, 0.092, 0.632)
F (0.201, 0.177, 0.437)
F (0.234, 0.716, 0.718)
F (0.256, 0.754, 0.502)
F (0.299, 0.389, 0.356)
F (0.330, 0.747, 0.286)
F (0.352, 0.041, 0.203)
F (0.371, 0.071, 0.987)
F (0.373, 0.980, 0.417)
F (0.376, 0.352, 0.625)
F (0.381, 0.513, 0.190)
F (0.455, 0.691, 0.062)
F (0.465, 0.283, 0.144)



3.
Theoretical powder diffractogram of CsRb2AsCl6 for copper Kα, from the PBE geometry in the Materials Project.
No peak broadening, texture or thermal motion is included.

Top 12 peaks for 10 to 80 degrees two-theta, by angle:
index  2theta  d (Å)  Rel. int.
2 0 0  15.41  5.750  16
2 2 0  21.86  4.066  100
2 2 2  26.86  3.319  12
4 0 0  31.11  2.875  68
3 3 1  33.98  2.638  9
4 2 2  38.35  2.347  41
4 4 0  44.57  2.033  44
6 2 0  50.18  1.818  27
4 4 4  55.35  1.660  14
6 4 2  60.22  1.537  28
6 6 0  69.34  1.355  12
8 4 0  73.69  1.286  16

Crystal structure
Cell lengths 11.499, 11.499, 11.499 Å; angles 90.00, 90.00, 90.00 degrees
Space group Fm-3m (No. 225)
Inequivalent atoms, fractional coordinates:
Cs (0.000, 0.000, 0.000)
Rb (0.250, 0.250, 0.250)
As (0.000, 0.000, 0.500)
Cl (0.000, 0.000, 0.282)



4.
Theoretical powder diffractogram of LuCuAs2 for copper Kα, from the PBE geometry in the Materials Project.
No peak broadening, texture or thermal motion is included.

Top 12 peaks for 10 to 80 degrees two-theta, by angle:
index  2theta  d (Å)  Rel. int.
1 0 1  24.83  3.586  25
1 0 2  29.54  3.023  14
1 0 3  36.16  2.484  25
0 0 4  36.91  2.436  16
1 1 2  37.81  2.379  100
1 0 4  43.97  2.059  8
2 0 0  47.14  1.928  33
1 0 5  52.63  1.739  15
2 1 3  60.82  1.523  11
2 0 4  61.32  1.512  14
2 2 0  68.87  1.363  10
2 1 5  73.31  1.291  11

Crystal structure
Cell lengths 3.856, 3.856, 9.742 Å; angles 90.00, 90.00, 90.00 degrees
Space group P4/nmm (No. 129, origin choice 2)
Inequivalent atoms, fractional coordinates:
Lu (0.250, 0.250, 0.237)
Cu (0.250, 0.750, 0.500)
As (0.250, 0.250, 0.668)
As (0.250, 0.750, 0.000)



5.
Theoretical powder diffractogram of CaU2Se5 for copper Kα, from the PBE geometry in the Materials Project.
No peak broadening, texture or thermal motion is included.

Top 12 peaks for 10 to 80 degrees two-theta, by angle:
index  2theta  d (Å)  Rel. int.
1 0 1  13.55  6.534  30
2 0 0  14.11  6.278  46
0 0 2  23.25  3.826  26
3 0 1  24.24  3.672  35
0 2 2  32.13  2.785  31
3 2 1  32.89  2.724  100
2 2 2  35.25  2.546  72
1 0 3  35.93  2.500  26
3 0 3  41.46  2.178  31
5 2 1  44.01  2.058  31
0 4 0  44.60  2.032  25
3 2 3  47.35  1.920  28

Crystal structure
Cell lengths 12.557, 8.126, 7.652 Å; angles 90.00, 90.00, 90.00 degrees
Space group Pnma (No. 62)
Inequivalent atoms, fractional coordinates:
Ca (0.007, 0.250, 0.077)
U (0.181, 0.001, 0.509)
Se (0.003, 0.250, 0.476)
Se (0.113, 0.544, 0.163)
Se (0.184, 0.250, 0.820)
Se (0.212, 0.750, 0.791)